(1)
Diffraction record for KMg14B. The powder XRD pattern is theoretical, not measured: it uses the GGA-PBE geometry in the Materials Project and Cu Kα X-rays.
Kinematic intensities with the Lorentz-polarization factor, no thermal factor.

The 10 most intense peaks (5° ≤ 2θ ≤ 70°), low angle first:
two_theta	I_rel
32.3	38
35.0	42
35.6	66
36.9	100
48.4	20
55.8	17
58.5	9
63.2	10
64.0	15
67.6	18

Structure:
```
KMg14B
1.0
10.2453 0.0000 0.0000
0.0000 3.1575 5.7939
0.0000 -3.1575 5.7939
K Mg B
1 14 1
direct
0.0000 0.0000 0.0000
0.0000 0.0043 0.4965
0.0000 0.4965 0.0043
0.2234 0.6298 0.6298
0.2497 0.1517 0.6274
0.2497 0.6274 0.1517
0.2678 0.1476 0.1476
0.5000 0.4785 0.4785
0.5000 0.4836 0.9712
0.5000 0.9712 0.4836
0.5000 0.9718 0.9718
0.7322 0.1476 0.1476
0.7503 0.1517 0.6274
0.7503 0.6274 0.1517
0.7766 0.6298 0.6298
0.0000 0.4047 0.4047
```



(2)
Diffraction record for CeEuAl4. The powder XRD pattern is theoretical, not measured: it uses the GGA-PBE geometry in the Materials Project and Cu Kα X-rays.
Kinematic intensities with the Lorentz-polarization factor, no thermal factor.

The 10 most intense peaks (5° ≤ 2θ ≤ 70°), low angle first:
two_theta	I_rel
19.3	58
31.7	98
37.4	100
39.1	5
45.5	7
49.8	15
56.5	38
60.2	33
66.2	22
69.7	11

Structure:
```
CeEuAl4
1.0
0.0000 3.9910 3.9910
3.9910 0.0000 3.9910
3.9910 3.9910 0.0000
Ce Eu Al
1 1 4
direct
0.0000 0.0000 0.0000
0.2500 0.2500 0.2500
0.1243 0.6252 0.6252
0.6252 0.1243 0.6252
0.6252 0.6252 0.1243
0.6252 0.6252 0.6252
```



(3)
Diffraction record for KSn2F5. The powder XRD pattern is theoretical, not measured: it uses the GGA-PBE geometry in the Materials Project and Cu Kα X-rays.
Kinematic intensities with the Lorentz-polarization factor, no thermal factor.

The 10 most intense peaks (5° ≤ 2θ ≤ 70°), low angle first:
two_theta	I_rel
9.3	50
18.7	42
25.6	100
25.6	98
25.8	96
28.2	88
30.3	40
30.5	47
41.7	40
45.3	66

Structure:
```
KSn2F5
1.0
7.4933 0.0000 0.0000
-0.0423 9.5009 0.0000
-0.0904 -0.0141 12.8656
K Sn F
6 12 30
direct
0.0000 0.0000 0.0000
0.0004 0.0185 0.6683
0.5041 0.0141 0.1660
0.5053 0.9959 0.4996
0.5087 0.0258 0.8342
0.9968 0.0434 0.3333
0.1599 0.6827 0.5134
0.1766 0.6837 0.1632
0.1833 0.6789 0.8332
0.3389 0.3491 0.3344
0.3437 0.3493 0.6521
0.3442 0.3525 0.0156
0.6458 0.6802 0.3291
0.6738 0.6813 0.6675
0.6777 0.6810 0.9933
0.8338 0.3516 0.8347
0.8454 0.3509 0.1625
0.8452 0.3508 0.5040
0.0157 0.7156 0.6608
0.1188 0.3031 0.2201
0.1188 0.3039 0.4480
0.1401 0.8955 0.4959
0.1750 0.8968 0.1842
0.1883 0.8941 0.8237
0.2335 0.7292 0.0041
0.3170 0.1388 0.0042
0.3255 0.1351 0.6590
0.3595 0.1347 0.3364
0.3846 0.7235 0.6136
0.3886 0.7276 0.3886
0.4831 0.3147 0.1594
0.4843 0.3215 0.5087
0.4841 0.7114 0.1769
0.4970 0.7071 0.8338
0.6010 0.3035 0.9420
0.6029 0.3029 0.7251
0.6477 0.8955 0.9975
0.6773 0.8963 0.6787
0.6882 0.8939 0.3216
0.7204 0.7255 0.5012
0.7856 0.3081 0.3333
0.8209 0.1355 0.5104
0.8284 0.1352 0.1537
0.8584 0.1364 0.8365
0.8934 0.7280 0.8857
0.8953 0.7291 0.1089
0.9966 0.3262 0.0016
0.9979 0.3185 0.6658
```



(4)
Diffraction record for K2HfF6. The powder XRD pattern is theoretical, not measured: it uses the GGA-PBE geometry in the Materials Project and Cu Kα X-rays.
Kinematic intensities with the Lorentz-polarization factor, no thermal factor.

The 10 most intense peaks (5° ≤ 2θ ≤ 70°), low angle first:
two_theta	I_rel
13.1	63
15.5	86
19.0	46
19.2	60
19.9	100
20.1	67
27.3	89
27.5	54
29.6	69
40.5	75

Structure:
```
K2HfF6
1.0
13.3002 0.0000 0.0000
0.0000 6.4770 0.0000
-5.7355 0.0000 12.2741
K Hf F
12 6 36
direct
0.0000 0.0000 0.0000
0.0222 0.5000 0.1014
0.1362 0.0000 0.4747
0.1647 0.5000 0.6827
0.2446 0.0000 0.0075
0.3008 0.5000 0.1918
0.4211 0.0000 0.4482
0.5654 0.5000 0.6953
0.6317 0.0000 0.9316
0.7703 0.5000 0.3204
0.7937 0.0000 0.4728
0.8765 0.5000 0.7121
0.0435 0.0000 0.7178
0.2815 0.5000 0.4724
0.4599 0.5000 0.9713
0.5472 0.0000 0.2046
0.7049 0.0000 0.7061
0.8709 0.0000 0.2127
0.0169 0.0000 0.2136
0.0818 0.2237 0.8272
0.0818 0.7763 0.8272
0.1337 0.5000 0.4762
0.1611 0.2406 0.0926
0.1611 0.7594 0.0926
0.1912 0.0000 0.7202
0.2440 0.2704 0.3636
0.2440 0.7296 0.3636
0.3218 0.5000 0.9906
0.3273 0.2797 0.5883
0.3273 0.7203 0.5883
0.4057 0.0000 0.2150
0.4333 0.2865 0.8623
0.4333 0.7135 0.8623
0.4361 0.5000 0.4813
0.4921 0.2228 0.0822
0.4921 0.7772 0.0822
0.5486 0.0000 0.6817
0.6054 0.2186 0.3121
0.6054 0.7814 0.3121
0.6203 0.5000 0.0352
0.6690 0.2197 0.5949
0.6690 0.7803 0.5949
0.6992 0.0000 0.2023
0.7299 0.2126 0.8204
0.7299 0.7874 0.8204
0.8038 0.5000 0.5069
0.8077 0.2139 0.0987
0.8077 0.7861 0.0987
0.8728 0.0000 0.7128
0.9050 0.2034 0.3339
0.9050 0.7966 0.3339
0.9225 0.5000 0.9074
0.9947 0.2113 0.5991
0.9947 0.7887 0.5991
```